Simulated powder XRD pattern
Compound: BeCu2B
Radiation: copper Kα
Structure: DFT lattice parameters and positions (GGA-PBE)
Kinematic intensities with the Lorentz-polarization factor, no thermal factor.

Structural model:
```
BeCu2B
1.0
5.2814 0.0000 0.0000
0.0000 5.2814 0.0000
0.0000 0.0000 5.2814
Be Cu B
4 8 4
direct
0.0000 0.0000 0.0000
0.0000 0.0000 0.5000
0.0000 0.5000 0.0000
0.5000 0.0000 0.0000
0.2579 0.2579 0.2579
0.2579 0.2579 0.7421
0.2579 0.7421 0.2579
0.2579 0.7421 0.7421
0.7421 0.2579 0.2579
0.7421 0.2579 0.7421
0.7421 0.7421 0.2579
0.7421 0.7421 0.7421
0.0000 0.5000 0.5000
0.5000 0.0000 0.5000
0.5000 0.5000 0.0000
0.5000 0.5000 0.5000
```

Most intense lines, 2θ = 10–90°, by intensity:
2θ 48.8, I = 100
2θ 33.9, I = 99
2θ 81.5, I = 26
2θ 60.7, I = 22
2θ 71.4, I = 14
2θ 16.8, I = 2
2θ 63.5, I = 2
2θ 51.9, I = 1